The following is a calculated powder diffraction line list of Hf4IN2. It was derived from a crystal structure in Alexandria, relaxed with PBE, using λ = 1.5418 Å (Cu Kα).

Peak list (8 most intense, 10° ≤ 2θ ≤ 90°, sorted by position)
| d (Å) | I/Imax |
| --- | --- |
| 3.074 | 100 |
| 3.041 | 50 |
| 2.520 | 67 |
| 1.940 | 56 |
| 1.782 | 24 |
| 1.762 | 23 |
| 1.541 | 27 |
| 1.537 | 27 |

Atomic structure:
Cell: 7.0492 7.0492 7.0492 Å, 138.12 138.12 60.72°
Atoms (fractional coordinates):
Hf  0.0000  0.5000  0.5000
Hf  0.2461  0.2461  0.0000
Hf  0.5000  0.0000  0.5000
Hf  0.7539  0.7539  0.0000
I  0.5000  0.5000  0.0000
N  0.0922  0.0922  0.0000
N  0.9078  0.9078  0.0000